Starting from the GGA-PBE geometry in the Materials Project, the powder X-ray diffraction pattern of Ce5Ge2Ru was computed for a wavelength of 1.5418 Å.
No peak broadening, texture or thermal motion is included.

Atomic structure:
```
Ce5Ge2Ru
1.0
11.760 0.000 0.000
0.000 8.792 0.000
0.000 0.000 7.827
Ce Ge Ru
20 8 4
direct
0.002 0.250 0.025
0.067 0.536 0.300
0.067 0.964 0.300
0.205 0.250 0.631
0.211 0.750 0.653
0.289 0.250 0.153
0.295 0.750 0.131
0.433 0.036 0.800
0.433 0.464 0.800
0.498 0.750 0.525
0.502 0.250 0.475
0.567 0.536 0.200
0.567 0.964 0.200
0.705 0.250 0.869
0.711 0.750 0.847
0.789 0.250 0.347
0.795 0.750 0.369
0.933 0.036 0.700
0.933 0.464 0.700
0.998 0.750 0.975
0.173 0.005 0.922
0.173 0.495 0.922
0.327 0.505 0.422
0.327 0.995 0.422
0.673 0.005 0.578
0.673 0.495 0.578
0.827 0.505 0.078
0.827 0.995 0.078
0.023 0.250 0.421
0.477 0.750 0.921
0.523 0.250 0.079
0.977 0.750 0.579
```

Principal peaks in the range 5 to 70 degrees two-theta, sorted by position:
2θ (°)  I (rel.)
27.78  36
31.54  100
32.32  35
32.55  94
32.68  57
34.26  80
35.23  32
36.78  39
41.07  49
53.34  28

***

Starting from the GGA-PBE geometry in the Materials Project, the powder X-ray diffraction pattern of Ce4Ge3S12 was computed for a wavelength of 1.5418 Å.
No peak broadening, texture or thermal motion is included.

Atomic structure:
```
Ce4Ge3S12
1.0
9.733 5.619 2.683
-9.733 5.619 2.683
0.000 -11.239 2.683
Ce Ge S
8 6 24
direct
0.000 0.000 0.000
0.208 0.432 0.972
0.432 0.972 0.208
0.472 0.932 0.708
0.500 0.500 0.500
0.708 0.472 0.932
0.932 0.708 0.472
0.972 0.208 0.432
0.142 0.967 0.355
0.355 0.142 0.967
0.467 0.642 0.855
0.642 0.855 0.467
0.855 0.467 0.642
0.967 0.355 0.142
0.083 0.630 0.352
0.083 0.796 0.110
0.110 0.083 0.796
0.130 0.583 0.852
0.189 0.189 0.374
0.189 0.374 0.189
0.282 0.884 0.813
0.296 0.583 0.610
0.313 0.384 0.782
0.352 0.083 0.630
0.374 0.189 0.189
0.384 0.782 0.313
0.583 0.610 0.296
0.583 0.852 0.130
0.610 0.296 0.583
0.630 0.352 0.083
0.689 0.689 0.874
0.689 0.874 0.689
0.782 0.313 0.384
0.796 0.110 0.083
0.813 0.282 0.884
0.852 0.130 0.583
0.874 0.689 0.689
0.884 0.813 0.282
```

Principal peaks in the range 5 to 70 degrees two-theta, sorted by position:
2θ (°)  I (rel.)
17.75  23
24.19  100
25.55  20
26.19  43
32.10  41
34.70  53
35.95  19
36.70  23
36.94  28
47.81  22

***

Starting from the GGA-PBE geometry in the Materials Project, the powder X-ray diffraction pattern of Ce4GeS3 was computed for a wavelength of 1.5418 Å.
No peak broadening, texture or thermal motion is included.

Atomic structure:
```
Ce4GeS3
1.0
5.782 0.000 0.000
0.000 5.782 0.000
0.000 0.000 11.559
Ce Ge S
8 2 6
direct
0.000 0.000 0.245
0.000 0.000 0.755
0.000 0.500 0.000
0.000 0.500 0.500
0.500 0.000 0.000
0.500 0.000 0.500
0.500 0.500 0.255
0.500 0.500 0.745
0.000 0.000 0.500
0.500 0.500 0.000
0.000 0.000 0.000
0.000 0.500 0.250
0.000 0.500 0.750
0.500 0.000 0.250
0.500 0.000 0.750
0.500 0.500 0.500
```

Principal peaks in the range 5 to 70 degrees two-theta, sorted by position:
2θ (°)  I (rel.)
17.15  1
26.71  52
27.83  1
30.94  100
42.08  1
44.32  73
52.50  25
55.02  25
64.47  12
67.27  1

***

Starting from the GGA-PBE geometry in the Materials Project, the powder X-ray diffraction pattern of Ce5GeSb2 was computed for a wavelength of 1.5418 Å.
No peak broadening, texture or thermal motion is included.

Atomic structure:
```
Ce5GeSb2
1.0
12.122 0.000 0.000
0.000 9.433 0.000
0.000 0.000 7.997
Ce Ge Sb
20 4 8
direct
0.004 0.250 0.014
0.056 0.050 0.702
0.056 0.450 0.702
0.213 0.750 0.354
0.222 0.250 0.335
0.278 0.750 0.835
0.287 0.250 0.854
0.444 0.550 0.202
0.444 0.950 0.202
0.496 0.750 0.514
0.504 0.250 0.486
0.556 0.050 0.798
0.556 0.450 0.798
0.713 0.750 0.146
0.722 0.250 0.165
0.778 0.750 0.665
0.787 0.250 0.646
0.944 0.550 0.298
0.944 0.950 0.298
0.996 0.750 0.986
0.025 0.750 0.594
0.475 0.250 0.094
0.525 0.750 0.906
0.975 0.250 0.406
0.178 0.506 0.074
0.178 0.994 0.074
0.322 0.006 0.574
0.322 0.494 0.574
0.678 0.506 0.426
0.678 0.994 0.426
0.822 0.006 0.926
0.822 0.494 0.926
```

Principal peaks in the range 5 to 70 degrees two-theta, sorted by position:
2θ (°)  I (rel.)
30.22  100
30.55  20
31.22  76
31.48  26
31.57  66
32.88  93
34.45  31
35.20  26
36.87  21
38.15  52